For TbMgAg, a crystal structure in the Materials Project, relaxed with PBE gives the simulated X-ray diffraction stick pattern in this record (Cu Kα (λ = 1.5418 Å)).
Kinematic intensities with the Lorentz-polarization factor, no thermal factor.

Most intense lines, 2θ = 10–90°, by intensity:
Position (°2θ)	I (rel.)	(hkl)
34.42	100	2 0 1
31.65	89	1 1 1
22.95	38	1 1 0
40.31	33	3 0 0
41.77	27	2 1 1
64.58	25	3 2 1

Cell and atoms:
a = 7.7514 Å, b = 7.7514 Å, c = 4.1338 Å
α = 90.00°, β = 90.00°, γ = 120.00°
Space group P-62m (No. 189)
Inequivalent atoms, fractional coordinates:
Tb: 0.0000 0.5893 0.0000
Mg: 0.0000 0.2474 0.5000
Ag: 0.0000 0.0000 0.0000
Ag: 0.3333 0.6667 0.5000

---

For ScInP2, a crystal structure in the Materials Project, relaxed with PBE gives the simulated X-ray diffraction stick pattern in this record (Cu Kα (λ = 1.5418 Å)).
Kinematic intensities with the Lorentz-polarization factor, no thermal factor.

Most intense lines, 2θ = 10–90°, by intensity:
Position (°2θ)	I (rel.)	(hkl)
25.91	100	1 0 1
42.95	61	2 0 0
50.85	44	2 1 1
78.72	19	3 1 2
68.70	17	3 0 1
30.01	17	1 1 0

Cell and atoms:
a = 4.2100 Å, b = 4.2100 Å, c = 5.9589 Å
α = 90.00°, β = 90.00°, γ = 90.00°
Space group P-4m2 (No. 115)
Inequivalent atoms, fractional coordinates:
Sc: 0.0000 0.0000 0.0000
In: 0.5000 0.5000 0.5000
P: 0.0000 0.5000 0.2473

---

For SiPb3, a crystal structure in the Materials Project, relaxed with PBE gives the simulated X-ray diffraction stick pattern in this record (Cu Kα (λ = 1.5418 Å)).
Kinematic intensities with the Lorentz-polarization factor, no thermal factor.

Most intense lines, 2θ = 10–90°, by intensity:
Position (°2θ)	I (rel.)	(hkl)
32.05	100	1 1 2
37.36	33	2 0 0
64.08	28	3 1 2
53.45	24	2 0 4
20.57	21	1 0 1
36.80	17	0 0 4

Cell and atoms:
a = 4.8134 Å, b = 4.8134 Å, c = 9.7691 Å
α = 90.00°, β = 90.00°, γ = 90.00°
Space group I4/mmm (No. 139)
Inequivalent atoms, fractional coordinates:
Si: 0.0000 0.0000 0.0000
Pb: 0.0000 0.0000 0.5000
Pb: 0.0000 0.5000 0.2500

---

For BaLa4Ti4O15, a crystal structure in the Materials Project, relaxed with PBE gives the simulated X-ray diffraction stick pattern in this record (Cu Kα (λ = 1.5418 Å)).
Kinematic intensities with the Lorentz-polarization factor, no thermal factor.

Most intense lines, 2θ = 10–90°, by intensity:
Position (°2θ)	I (rel.)	(hkl)
29.86	100	1 0 6
31.81	78	1 1 0
44.18	52	0 2 6
55.46	36	2 1 6
51.73	25	0 1 12
19.82	19	0 1 2

Cell and atoms:
a = 5.6270 Å, b = 5.6270 Å, c = 22.7495 Å
α = 90.00°, β = 90.00°, γ = 120.00°
Space group P3c1 (No. 158)
Inequivalent atoms, fractional coordinates:
Ba: 0.0000 0.0000 0.0000
La: 0.0000 0.0000 0.1823
La: 0.3333 0.6667 0.2912
La: 0.6667 0.3333 0.0719
La: 0.6667 0.3333 0.3992
Ti: 0.0000 0.0000 0.3415
Ti: 0.3333 0.6667 0.1340
Ti: 0.3333 0.6667 0.4487
Ti: 0.6667 0.3333 0.2383
O: 0.0021 0.4377 0.1954
O: 0.0865 0.3339 0.5994
O: 0.1119 0.3360 0.3854
O: 0.3332 0.1049 0.7902
O: 0.4807 0.0059 0.9849

---

For ZrAl4C4, a crystal structure in the Materials Project, relaxed with PBE gives the simulated X-ray diffraction stick pattern in this record (Cu Kα (λ = 1.5418 Å)).
Kinematic intensities with the Lorentz-polarization factor, no thermal factor.

Most intense lines, 2θ = 10–90°, by intensity:
Position (°2θ)	I (rel.)	(hkl)
39.49	100	0 1 6
31.84	85	1 0 2
34.88	70	1 0 4
54.71	59	1 1 0
33.14	43	1 0 3
59.40	29	1 0 12

Cell and atoms:
a = 3.3557 Å, b = 3.3557 Å, c = 22.1081 Å
α = 90.00°, β = 90.00°, γ = 120.00°
Space group P-3m1 (No. 164)
Inequivalent atoms, fractional coordinates:
Zr: 0.3333 0.6667 0.0614
Al: 0.0000 0.0000 0.1653
Al: 0.0000 0.0000 0.3515
Al: 0.3333 0.6667 0.5450
Al: 0.3333 0.6667 0.7324
C: 0.0000 0.0000 0.0000
C: 0.0000 0.0000 0.2535
C: 0.0000 0.0000 0.5000
C: 0.3333 0.6667 0.6334
C: 0.3333 0.6667 0.8749

---

For Ba2Sn3Sb6, a crystal structure in the Materials Project, relaxed with PBE gives the simulated X-ray diffraction stick pattern in this record (Cu Kα (λ = 1.5418 Å)).
Kinematic intensities with the Lorentz-polarization factor, no thermal factor.

Most intense lines, 2θ = 10–90°, by intensity:
Position (°2θ)	I (rel.)	(hkl)
32.11	100	2 1 6
29.96	93	3 1 3
26.48	92	3 0 5
40.14	87	0 2 0
27.48	81	1 1 5
28.86	60	3 1 2

Cell and atoms:
a = 13.6156 Å, b = 4.4936 Å, c = 25.0086 Å
α = 90.00°, β = 90.00°, γ = 90.00°
Space group Pnma (No. 62)
Inequivalent atoms, fractional coordinates:
Ba: 0.0486 0.2500 0.0792
Ba: 0.1302 0.2500 0.3915
Sn: 0.0415 0.2500 0.2505
Sn: 0.1803 0.7500 0.5980
Sn: 0.1946 0.2500 0.7342
Sb: 0.0652 0.2500 0.6441
Sb: 0.0704 0.7500 0.4971
Sb: 0.1160 0.7500 0.1850
Sb: 0.1510 0.7500 0.8033
Sb: 0.1612 0.2500 0.9220
Sb: 0.1990 0.7500 0.9976

---

For Li5H9Pt2, a crystal structure in the Materials Project, relaxed with PBE gives the simulated X-ray diffraction stick pattern in this record (Cu Kα (λ = 1.5418 Å)).
Kinematic intensities with the Lorentz-polarization factor, no thermal factor.

Most intense lines, 2θ = 10–90°, by intensity:
Position (°2θ)	I (rel.)	(hkl)
26.05	100	2 1 1
39.90	37	2 1 3
20.87	37	0 0 2
46.09	23	3 3 0
40.19	17	3 1 2
15.00	15	1 1 0

Cell and atoms:
a = 8.3511 Å, b = 8.3511 Å, c = 8.5116 Å
α = 90.00°, β = 90.00°, γ = 90.00°
Space group I4/mcm (No. 140)
Inequivalent atoms, fractional coordinates:
Li: 0.0000 0.0000 0.0000
Li: 0.1497 0.3503 0.1587
H: 0.0000 0.5000 0.0000
H: 0.0742 0.2275 0.3649
Pt: 0.1574 0.3426 0.5000

---

For Li2AcIn, a crystal structure in the Materials Project, relaxed with PBE gives the simulated X-ray diffraction stick pattern in this record (Cu Kα (λ = 1.5418 Å)).
Kinematic intensities with the Lorentz-polarization factor, no thermal factor.

Most intense lines, 2θ = 10–90°, by intensity:
Position (°2θ)	I (rel.)	(hkl)
24.23	100	2 0 0
34.53	92	2 2 0
55.97	41	4 2 0
61.86	34	4 2 2
42.63	30	2 2 2
78.03	20	6 0 0

Cell and atoms:
a = 7.3473 Å, b = 7.3473 Å, c = 7.3473 Å
α = 90.00°, β = 90.00°, γ = 90.00°
Space group Fm-3m (No. 225)
Inequivalent atoms, fractional coordinates:
Li: 0.2500 0.2500 0.2500
Ac: 0.0000 0.0000 0.0000
In: 0.0000 0.0000 0.5000

---

For Li2ZrF6, a crystal structure in the Materials Project, relaxed with PBE gives the simulated X-ray diffraction stick pattern in this record (Cu Kα (λ = 1.5418 Å)).
Kinematic intensities with the Lorentz-polarization factor, no thermal factor.

Most intense lines, 2θ = 10–90°, by intensity:
Position (°2θ)	I (rel.)	(hkl)
20.52	100	1 1 -1
26.72	69	1 1 1
29.28	66	3 1 -1
18.87	66	2 0 0
14.59	62	1 1 0
42.00	43	1 3 1

Cell and atoms:
a = 10.2953 Å, b = 7.9512 Å, c = 5.1889 Å
α = 90.00°, β = 113.97°, γ = 90.00°
Space group C2/c (No. 15)
Inequivalent atoms, fractional coordinates:
Li: 0.2156 0.0808 0.4098
Zr: 0.0000 0.3173 0.7500
F: 0.1207 0.4506 0.1478
F: 0.1252 0.1248 0.0035
F: 0.1283 0.2417 0.5573